1.
Simulated powder XRD pattern of SmNbO4 for Cu Kα X-rays, from a crystal structure in the Materials Project, relaxed with GGA-PBE.
No peak broadening, texture or thermal motion is included.

Main lines, by angle (5 to 70 degrees two-theta):
| index | 2theta | I (rel.) |
| --- | --- | --- |
| 0 2 1 | 27.85 | 100 |
| 2 2 -1 | 29.11 | 88 |
| 0 4 0 | 31.51 | 23 |
| 2 0 0 | 33.00 | 21 |
| 2 0 -2 | 34.45 | 16 |
| 2 4 0 | 46.28 | 32 |
| 0 0 2 | 46.83 | 16 |
| 2 4 -2 | 47.38 | 28 |
| 0 6 1 | 53.90 | 14 |
| 2 2 1 | 55.12 | 16 |

Crystal structure
abc: 7.298 11.355 5.216
angles: 90.00 131.94 90.00
Space group C2/c (No. 15)
Asymmetric unit:
Sm: 0.000 0.128 0.250 (multiplicity 4)
Nb: 0.000 0.391 0.750 (multiplicity 4)
O: 0.156 0.291 0.659 (multiplicity 8)
O: 0.247 0.467 0.193 (multiplicity 8)



2.
Simulated powder XRD pattern of SrSm2Nb2O9 for Cu Kα X-rays, from a crystal structure in the Materials Project, relaxed with GGA-PBE.
No peak broadening, texture or thermal motion is included.

Main lines, by angle (5 to 70 degrees two-theta):
| index | 2theta | I (rel.) |
| --- | --- | --- |
| 3 1 1 | 24.71 | 18 |
| 5 1 1 | 28.51 | 100 |
| 0 2 0 | 31.93 | 18 |
| 2 0 2 | 32.40 | 12 |
| 10 0 0 | 35.48 | 12 |
| 0 2 2 | 45.54 | 14 |
| 2 2 2 | 46.13 | 14 |
| 10 2 0 | 48.47 | 11 |
| 5 3 1 | 54.82 | 14 |
| 7 1 3 | 57.48 | 13 |

Crystal structure
abc: 25.301 5.606 5.663
angles: 90.00 90.00 90.00
Space group Cmc2_1 (No. 36)
Asymmetric unit:
Sr: 0.000 0.248 0.000 (multiplicity 4)
Sm: 0.205 0.216 0.862 (multiplicity 8)
Nb: 0.084 0.246 0.485 (multiplicity 8)
O: 0.000 0.311 0.459 (multiplicity 4)
O: 0.064 0.022 0.739 (multiplicity 8)
O: 0.091 0.475 0.190 (multiplicity 8)
O: 0.155 0.140 0.488 (multiplicity 8)
O: 0.241 0.496 0.120 (multiplicity 8)



3.
Simulated powder XRD pattern of SrSmTiNbO6 for Cu Kα X-rays, from a crystal structure in the Materials Project, relaxed with GGA-PBE.
No peak broadening, texture or thermal motion is included.

Main lines, by angle (5 to 70 degrees two-theta):
| index | 2theta | I (rel.) |
| --- | --- | --- |
| 1 1 1 | 19.19 | 11 |
| 2 0 0 | 22.20 | 3 |
| 2 2 0 | 31.60 | 100 |
| 3 1 1 | 37.23 | 7 |
| 2 2 2 | 38.95 | 12 |
| 4 0 0 | 45.29 | 34 |
| 3 3 1 | 49.61 | 3 |
| 4 2 2 | 56.27 | 39 |
| 3 3 3 | 60.02 | 2 |
| 4 4 0 | 65.98 | 20 |

Crystal structure
abc: 8.009 8.009 8.009
angles: 90.00 90.00 90.00
Space group F-43m (No. 216)
Asymmetric unit:
Sr: 0.000 0.000 0.000 (multiplicity 4)
Sm: 0.000 0.000 0.500 (multiplicity 4)
Ti: 0.250 0.250 0.250 (multiplicity 4)
Nb: 0.250 0.250 0.750 (multiplicity 4)
O: 0.004 0.250 0.250 (multiplicity 24)